Entry 1:
The following is a simulated powder XRD pattern of Rb4Te. It was derived from the PBE geometry in Alexandria, using Cu Kα X-rays.
Neutral-atom scattering factors, no anomalous dispersion.

Crystal structure
```
data_Rb4Te
_chemical_formula_sum 'Rb4 Te1'
_cell_length_a 7.188
_cell_length_b 7.188
_cell_length_c 7.188
_cell_angle_alpha 90.00
_cell_angle_beta 90.00
_cell_angle_gamma 90.00
_space_group_name_H-M_alt 'P m -3 m'
_space_group_IT_number 221
_space_group_name_Hall '-P 4 2 3'
loop_
_atom_site_label
_atom_site_type_symbol
_atom_site_fract_x
_atom_site_fract_y
_atom_site_fract_z
Rb1 Rb 0.000 0.000 0.000
Rb2 Rb 0.000 0.500 0.500
Te1 Te 0.500 0.500 0.500
```

The 10 most intense peaks (2θ from 10° to 80°), most intense first:
2θ 24.77, rel. 100, hkl 2 0 0
2θ 35.32, rel. 78, hkl 2 2 0
2θ 21.41, rel. 43, hkl 1 1 1
2θ 57.33, rel. 38, hkl 4 2 0
2θ 12.31, rel. 35, hkl 1 0 0
2θ 17.45, rel. 32, hkl 1 1 0
2θ 43.62, rel. 29, hkl 2 2 2
2θ 63.40, rel. 28, hkl 4 2 2
2θ 41.68, rel. 22, hkl 3 1 1
2θ 27.75, rel. 21, hkl 2 1 0

---

Entry 2:
The following is a simulated powder XRD pattern of RbTe. It was derived from the PBE geometry in Alexandria, using Cu Kα X-rays.
Neutral-atom scattering factors, no anomalous dispersion.

Crystal structure
```
data_RbTe
_chemical_formula_sum 'Rb6 Te6'
_cell_length_a 11.443
_cell_length_b 4.358
_cell_length_c 10.568
_cell_angle_alpha 90.00
_cell_angle_beta 90.00
_cell_angle_gamma 90.00
_space_group_name_H-M_alt 'P m n 21'
_space_group_IT_number 31
loop_
_space_group_symop_operation_xyz
'x,y,z'
'-x+1/2,-y,z+1/2'
'-x,y,z'
'x+1/2,-y,z+1/2'
loop_
_atom_site_label
_atom_site_type_symbol
_atom_site_fract_x
_atom_site_fract_y
_atom_site_fract_z
Rb1 Rb 0.000 0.004 0.000
Rb2 Rb 0.158 0.000 0.451
Te1 Te 0.000 0.501 0.696
Te2 Te 0.230 0.500 0.190
```

The 10 most intense peaks (2θ from 10° to 80°), most intense first:
2θ 26.51, rel. 100, hkl 0 1 2
2θ 32.32, rel. 38, hkl 3 1 1
2θ 24.82, rel. 28, hkl 3 0 1
2θ 41.44, rel. 27, hkl 0 2 0
2θ 33.93, rel. 20, hkl 0 0 4
2θ 34.66, rel. 18, hkl 3 0 3
2θ 35.69, rel. 17, hkl 4 0 2
2θ 51.55, rel. 15, hkl 4 1 4
2θ 37.61, rel. 13, hkl 4 1 0
2θ 54.60, rel. 10, hkl 0 2 4